(1)
Theoretical powder X-ray diffraction pattern of K2AcNbS4 for Cu Kα (λ = 1.5418 Å), from a crystal structure in Alexandria, relaxed with GGA-PBE.
Intensities are scaled so that the largest is 100.

Principal peaks in the range 10 to 90 degrees two-theta, sorted by position:
| two_theta | Rel. int. |
| --- | --- |
| 15.80 | 82 |
| 23.72 | 30 |
| 26.98 | 100 |
| 28.63 | 32 |
| 31.90 | 17 |
| 33.80 | 42 |
| 43.76 | 50 |
| 49.51 | 17 |

Cell and atoms:
```
K2AcNbS4
1.0
-3.750 3.750 4.226
3.750 -3.750 4.226
3.750 3.750 -4.226
K Ac Nb S
2 1 1 4
direct
0.000 0.000 0.000
0.750 0.250 0.500
0.500 0.500 0.000
0.250 0.750 0.500
0.113 0.571 0.059
0.429 0.488 0.542
0.512 0.054 0.941
0.946 0.887 0.458
```

(2)
Theoretical powder X-ray diffraction pattern of Cs4K4Rb5 for Cu Kα (λ = 1.5418 Å), from a crystal structure in Alexandria, relaxed with GGA-PBE.
Intensities are scaled so that the largest is 100.

Principal peaks in the range 10 to 90 degrees two-theta, sorted by position:
| two_theta | Rel. int. |
| --- | --- |
| 21.48 | 100 |
| 24.74 | 35 |
| 25.07 | 17 |
| 35.51 | 27 |
| 41.68 | 33 |
| 42.09 | 16 |
| 43.77 | 14 |
| 56.05 | 14 |

Cell and atoms:
```
Cs4K4Rb5
1.0
-9.173 9.173 3.552
9.173 -9.173 3.552
9.173 9.173 -3.552
Cs K Rb
4 4 5
direct
0.151 0.234 0.386
0.234 0.849 0.083
0.766 0.151 0.917
0.849 0.766 0.614
0.070 0.606 0.676
0.394 0.070 0.465
0.606 0.930 0.535
0.930 0.394 0.324
0.000 0.000 0.000
0.303 0.465 0.768
0.465 0.697 0.162
0.535 0.303 0.838
0.697 0.535 0.232
```

(3)
Theoretical powder X-ray diffraction pattern of NaH9O5 for Cu Kα (λ = 1.5418 Å), from a crystal structure in Alexandria, relaxed with GGA-PBE.
Intensities are scaled so that the largest is 100.

Principal peaks in the range 10 to 90 degrees two-theta, sorted by position:
| two_theta | Rel. int. |
| --- | --- |
| 15.56 | 75 |
| 24.95 | 49 |
| 27.80 | 64 |
| 32.23 | 65 |
| 34.09 | 100 |
| 37.89 | 34 |
| 42.44 | 51 |
| 47.34 | 62 |

Cell and atoms:
```
NaH9O5
1.0
6.343 0.000 0.000
0.000 6.417 0.000
0.000 0.000 12.951
Na H O
4 36 20
direct
0.004 0.247 0.252
0.496 0.753 0.752
0.504 0.253 0.748
0.996 0.747 0.248
0.057 0.768 0.551
0.066 0.497 0.439
0.076 0.481 0.063
0.081 0.838 0.951
0.133 0.986 0.698
0.145 0.009 0.824
0.194 0.485 0.605
0.205 0.482 0.891
0.216 0.951 0.515
0.284 0.049 0.015
0.295 0.518 0.391
0.306 0.515 0.105
0.355 0.991 0.324
0.367 0.014 0.198
0.419 0.162 0.451
0.424 0.519 0.563
0.434 0.503 0.939
0.443 0.232 0.051
0.557 0.732 0.449
0.566 0.003 0.561
0.576 0.019 0.937
0.581 0.662 0.049
0.633 0.514 0.302
0.645 0.491 0.176
0.694 0.015 0.395
0.705 0.018 0.109
0.716 0.549 0.485
0.784 0.451 0.985
0.795 0.982 0.609
0.806 0.985 0.895
0.855 0.509 0.676
0.867 0.486 0.802
0.919 0.338 0.549
0.924 0.981 0.437
0.934 0.997 0.061
0.943 0.268 0.949
0.069 0.989 0.952
0.075 0.920 0.551
0.147 0.499 0.372
0.156 0.506 0.128
0.226 0.012 0.757
0.274 0.988 0.257
0.344 0.494 0.628
0.353 0.501 0.872
0.425 0.080 0.051
0.431 0.011 0.452
0.569 0.511 0.048
0.575 0.580 0.449
0.647 0.001 0.628
0.656 0.994 0.872
0.726 0.488 0.243
0.774 0.512 0.743
0.844 0.006 0.372
0.853 0.999 0.128
0.925 0.420 0.949
0.931 0.489 0.548
```